This entry pairs a crystal structure of Li2VCrO4 with its computed XRD peak list. Radiation: Cu Ka. Structure: DFT lattice parameters and positions (GGA+U).
Intensities are scaled so that the largest is 100.

Principal peaks in the range 2θ from 10° to 80°, in order of rising 2θ:
| (hkl) | Position (°2θ) | intensity |
| --- | --- | --- |
| 2 0 0 | 18.23 | 100 |
| 0 2 1 | 35.13 | 27 |
| 2 0 -2 | 35.47 | 14 |
| 0 0 2 | 36.87 | 10 |
| 2 2 1 | 42.69 | 58 |
| 4 0 -2 | 43.18 | 28 |
| 4 2 -1 | 46.97 | 9 |
| 4 2 1 | 56.52 | 9 |
| 0 4 0 | 61.83 | 8 |
| 2 2 -3 | 62.35 | 30 |

Crystal structure
abc: 10.291 6.002 5.148
angles: 90.00 108.99 90.00
Space group C2/c (No. 15)
Unique sites:
Li (0.249, 0.125, 0.247) x8
V (0.000, 0.376, 0.250) x4
Cr (0.000, 0.123, 0.750) x4
O (0.113, 0.373, 0.989) x8
O (0.114, 0.122, 0.492) x8